(1)
# SrY3Hg4
Calculated PXRD pattern, copper Kα. Input: a cell relaxed with PBE.

Principal peaks in the range 10 to 90 degrees two-theta, by intensity:
2θ/deg	I (rel.)
33.41	100
33.61	50
59.97	37
48.26	18
59.59	18
23.59	17
70.18	11
47.67	9
80.55	8
80.43	8

Structural model:
Lattice parameters (Å, degrees): 5.3334 5.3334 7.6307 90.00 90.00 90.00
Positions (direct):
Sr 0.0000 0.0000 0.0000
Y 0.0000 0.0000 0.5000
Y 0.5000 0.5000 0.0000
Y 0.5000 0.5000 0.5000
Hg 0.0000 0.5000 0.2647
Hg 0.0000 0.5000 0.7353
Hg 0.5000 0.0000 0.2647
Hg 0.5000 0.0000 0.7353


(2)
# AlH2Cl6
Calculated PXRD pattern, copper Kα. Input: a cell relaxed with PBE.

Principal peaks in the range 10 to 90 degrees two-theta, by intensity:
2θ/deg	I (rel.)
26.78	100
17.59	73
29.00	69
12.40	63
17.82	38
29.46	28
24.92	24
32.51	24
44.95	22
30.40	20

Structural model:
Lattice parameters (Å, degrees): 10.2487 10.2487 5.3461 100.32 100.32 88.42
Positions (direct):
Al 0.2041 0.7959 0.7500
Al 0.7959 0.2041 0.2500
H 0.1143 0.3459 0.5143
H 0.3459 0.1143 0.0143
H 0.6541 0.8857 0.9857
H 0.8857 0.6541 0.4857
Cl 0.0129 0.7660 0.8344
Cl 0.1952 0.4062 0.7180
Cl 0.2340 0.9871 0.6656
Cl 0.2383 0.6427 0.4207
Cl 0.3573 0.7617 0.0793
Cl 0.4062 0.1952 0.2180
Cl 0.5938 0.8048 0.7820
Cl 0.6427 0.2383 0.9207
Cl 0.7617 0.3573 0.5793
Cl 0.7660 0.0129 0.3344
Cl 0.8048 0.5938 0.2820
Cl 0.9871 0.2340 0.1656


(3)
# ZrPa2Rh5Au
Calculated PXRD pattern, copper Kα. Input: a cell relaxed with PBE.

Principal peaks in the range 10 to 90 degrees two-theta, by intensity:
2θ/deg	I (rel.)
34.77	100
39.20	67
31.93	60
39.33	53
15.78	45
48.70	43
61.84	36
41.86	31
26.35	28
35.80	28

Structural model:
Lattice parameters (Å, degrees): 7.9530 7.9530 7.9530 120.21 120.21 89.64
Positions (direct):
Zr 0.2500 0.2500 0.0000
Zr 0.7500 0.7500 0.0000
Pa 0.1322 0.6322 0.7644
Pa 0.3678 0.1322 0.5000
Pa 0.6322 0.8678 0.5000
Pa 0.8678 0.3678 0.2356
Rh 0.0000 0.0000 0.0000
Rh 0.0686 0.1556 0.5000
Rh 0.1556 0.6556 0.0870
Rh 0.3444 0.4314 0.5000
Rh 0.4314 0.9314 0.0870
Rh 0.5000 0.5000 0.0000
Rh 0.5686 0.0686 0.9130
Rh 0.6556 0.5686 0.5000
Rh 0.8444 0.3444 0.9130
Rh 0.9314 0.8444 0.5000
Au 0.2500 0.7500 0.5000
Au 0.7500 0.2500 0.5000


(4)
# Rb2Hg13
Calculated PXRD pattern, copper Kα. Input: a cell relaxed with PBE.

Principal peaks in the range 10 to 90 degrees two-theta, by intensity:
2θ/deg	I (rel.)
31.85	100
10.05	90
32.40	51
33.76	47
20.18	29
29.59	28
47.90	27
41.88	26
64.83	26
60.88	25

Structural model:
Lattice parameters (Å, degrees): 10.1123 10.1123 10.1123 50.53 50.53 50.53
Positions (direct):
Rb 0.1421 0.1421 0.1421
Rb 0.8579 0.8579 0.8579
Hg 0.0000 0.0000 0.0000
Hg 0.1393 0.1393 0.5114
Hg 0.1393 0.5114 0.1393
Hg 0.2633 0.2633 0.6302
Hg 0.2633 0.6302 0.2633
Hg 0.3698 0.7367 0.7367
Hg 0.4886 0.8607 0.8607
Hg 0.5114 0.1393 0.1393
Hg 0.6302 0.2633 0.2633
Hg 0.7367 0.3698 0.7367
Hg 0.7367 0.7367 0.3698
Hg 0.8607 0.4886 0.8607
Hg 0.8607 0.8607 0.4886


(5)
# Ce4CoGe8
Calculated PXRD pattern, copper Kα. Input: a cell relaxed with PBE.

Principal peaks in the range 10 to 90 degrees two-theta, by intensity:
2θ/deg	I (rel.)
34.98	100
43.49	16
39.86	16
44.61	15
32.89	11
74.31	11
24.47	11
26.96	10
64.06	10
60.45	10

Structural model:
Lattice parameters (Å, degrees): 4.0623 4.1621 16.3378 90.00 90.00 90.00
Positions (direct):
Ce 0.0000 0.0000 0.0000
Ce 0.0000 0.5000 0.4993
Ce 0.5000 0.0000 0.2128
Ce 0.5000 0.5000 0.7141
Co 0.5000 0.0000 0.4192
Ge 0.0000 0.0000 0.3471
Ge 0.0000 0.0000 0.6596
Ge 0.0000 0.5000 0.1548
Ge 0.0000 0.5000 0.8581
Ge 0.5000 0.0000 0.5618
Ge 0.5000 0.0000 0.8568
Ge 0.5000 0.5000 0.0539
Ge 0.5000 0.5000 0.3480


(6)
# Pr2Ge6Pt
Calculated PXRD pattern, copper Kα. Input: a cell relaxed with PBE.

Principal peaks in the range 10 to 90 degrees two-theta, by intensity:
2θ/deg	I (rel.)
32.50	100
31.99	33
43.53	25
42.80	25
42.33	22
41.53	18
62.69	16
61.77	14
55.02	14
35.40	11

Structural model:
Lattice parameters (Å, degrees): 4.2252 11.3894 11.3894 21.04 90.00 90.00
Positions (direct):
Pr 0.0000 0.0000 0.0000
Pr 0.0000 0.3367 0.3367
Ge 0.0000 0.6203 0.6203
Ge 0.0000 0.7324 0.7324
Ge 0.5000 0.1215 0.1215
Ge 0.5000 0.2337 0.2337
Ge 0.5000 0.4482 0.4482
Ge 0.5000 0.8797 0.8797
Pt 0.5000 0.5586 0.5586


(7)
# TbPrMg2Hg4
Calculated PXRD pattern, copper Kα. Input: a cell relaxed with PBE.

Principal peaks in the range 10 to 90 degrees two-theta, by intensity:
2θ/deg	I (rel.)
34.96	100
34.80	100
62.59	37
24.47	36
50.15	36
62.69	19
62.29	18
21.18	17
84.29	17
84.02	16

Structural model:
Lattice parameters (Å, degrees): 8.9436 8.9436 8.9436 33.36 33.36 33.36
Positions (direct):
Tb 0.0000 0.0000 0.0000
Pr 0.5000 0.5000 0.5000
Mg 0.2505 0.2505 0.2505
Mg 0.7495 0.7495 0.7495
Hg 0.1218 0.1218 0.1218
Hg 0.3725 0.3725 0.3725
Hg 0.6275 0.6275 0.6275
Hg 0.8782 0.8782 0.8782


(8)
# Pa2IrPbO8
Calculated PXRD pattern, copper Kα. Input: a cell relaxed with PBE.

Principal peaks in the range 10 to 90 degrees two-theta, by intensity:
2θ/deg	I (rel.)
30.71	100
24.88	50
25.43	47
47.62	37
48.24	34
35.87	29
61.29	20
57.87	19
51.05	16
63.96	13

Structural model:
Lattice parameters (Å, degrees): 5.0076 5.0076 7.1561 90.00 90.00 91.22
Positions (direct):
Pa 0.0000 0.0000 0.2435
Pa 0.0000 0.0000 0.7565
Ir 0.5000 0.5000 0.0000
Pb 0.5000 0.5000 0.5000
O 0.1713 0.8287 0.5000
O 0.2044 0.7956 0.0000
O 0.3026 0.3026 0.2061
O 0.3026 0.3026 0.7939
O 0.6974 0.6974 0.2061
O 0.6974 0.6974 0.7939
O 0.7956 0.2044 0.0000
O 0.8287 0.1713 0.5000


(9)
# Hf2Al4Au
Calculated PXRD pattern, copper Kα. Input: a cell relaxed with PBE.

Principal peaks in the range 10 to 90 degrees two-theta, by intensity:
2θ/deg	I (rel.)
38.24	100
18.85	52
21.97	45
30.90	39
44.16	17
44.38	16
44.80	16
55.42	16
77.28	13
77.59	13

Structural model:
Lattice parameters (Å, degrees): 5.7615 5.7479 5.7870 59.93 59.70 60.37
Positions (direct):
Hf 0.0000 0.0000 0.5000
Hf 0.5000 0.5000 0.0000
Al 0.0020 0.4985 0.5015
Al 0.4985 0.0020 0.9980
Al 0.5015 0.9980 0.4985
Al 0.9980 0.5015 0.0020
Au 0.0000 0.0000 0.0000


(10)
# BHF3
Calculated PXRD pattern, copper Kα. Input: a cell relaxed with PBE.

Principal peaks in the range 10 to 90 degrees two-theta, by intensity:
2θ/deg	I (rel.)
19.46	100
14.03	70
38.52	43
32.60	41
29.54	40
37.96	28
39.51	28
39.26	26
30.57	21
26.16	20

Structural model:
Lattice parameters (Å, degrees): 3.4075 6.5991 6.3144 90.00 91.04 90.00
Positions (direct):
B 0.1584 0.2500 0.3267
B 0.8416 0.7500 0.6733
H 0.4938 0.7500 0.0774
H 0.5062 0.2500 0.9226
F 0.0325 0.0754 0.2464
F 0.0325 0.4246 0.2464
F 0.4138 0.2500 0.4888
F 0.5862 0.7500 0.5112
F 0.9675 0.5754 0.7536
F 0.9675 0.9246 0.7536


(11)
# SrCe2UO8
Calculated PXRD pattern, copper Kα. Input: a cell relaxed with PBE.

Principal peaks in the range 10 to 90 degrees two-theta, by intensity:
2θ/deg	I (rel.)
27.47	100
28.85	87
46.85	66
32.64	58
56.70	38
54.33	30
11.80	20
44.99	19
55.22	14
48.56	14

Structural model:
Lattice parameters (Å, degrees): 4.0302 5.4792 7.4988 90.00 90.00 90.00
Positions (direct):
Sr 0.0000 0.0000 0.0000
Ce 0.5000 0.5000 0.2468
Ce 0.5000 0.5000 0.7532
U 0.0000 0.0000 0.5000
O 0.0000 0.2478 0.2846
O 0.0000 0.2478 0.7154
O 0.0000 0.7522 0.2846
O 0.0000 0.7522 0.7154
O 0.5000 0.2319 0.5000
O 0.5000 0.2722 0.0000
O 0.5000 0.7278 0.0000
O 0.5000 0.7681 0.5000


(12)
# InO
Calculated PXRD pattern, copper Kα. Input: a cell relaxed with PBE.

Principal peaks in the range 10 to 90 degrees two-theta, by intensity:
2θ/deg	I (rel.)
32.49	100
13.65	44
30.82	43
55.88	35
44.15	21
19.35	18
43.07	15
58.99	13
68.04	11
59.70	10

Structural model:
Lattice parameters (Å, degrees): 9.1734 9.1734 3.7202 90.00 90.00 90.00
Positions (direct):
In 0.1115 0.3204 0.0000
In 0.1796 0.6115 0.5000
In 0.3204 0.8885 0.0000
In 0.3885 0.1796 0.5000
In 0.6115 0.8204 0.5000
In 0.6796 0.1115 0.0000
In 0.8204 0.3885 0.5000
In 0.8885 0.6796 0.0000
O 0.1272 0.7461 0.0000
O 0.2461 0.3728 0.5000
O 0.2539 0.1272 0.0000
O 0.3728 0.7539 0.5000
O 0.6272 0.2461 0.5000
O 0.7461 0.8728 0.0000
O 0.7539 0.6272 0.5000
O 0.8728 0.2539 0.0000


(13)
# Be2Nb2Co5Os
Calculated PXRD pattern, copper Kα. Input: a cell relaxed with PBE.

Principal peaks in the range 10 to 90 degrees two-theta, by intensity:
2θ/deg	I (rel.)
43.62	100
40.65	51
35.82	41
15.16	41
45.22	33
49.30	24
30.34	22
53.74	21
47.80	16
30.59	16

Structural model:
Lattice parameters (Å, degrees): 8.2670 8.2670 3.4113 90.00 90.00 90.00
Positions (direct):
Be 0.1098 0.3902 0.0000
Be 0.3902 0.8902 0.0000
Be 0.6098 0.1098 0.0000
Be 0.8902 0.6098 0.0000
Nb 0.1838 0.6838 0.0000
Nb 0.3162 0.1838 0.0000
Nb 0.6838 0.8162 0.0000
Nb 0.8162 0.3162 0.0000
Co 0.0000 0.5000 0.5000
Co 0.0684 0.2127 0.5000
Co 0.2127 0.9316 0.5000
Co 0.2873 0.4316 0.5000
Co 0.4316 0.7127 0.5000
Co 0.5000 0.0000 0.5000
Co 0.5684 0.2873 0.5000
Co 0.7127 0.5684 0.5000
Co 0.7873 0.0684 0.5000
Co 0.9316 0.7873 0.5000
Os 0.0000 0.0000 0.0000
Os 0.5000 0.5000 0.0000